The following is a calculated powder XRD pattern of BaMnVO4. It was derived from DFT lattice parameters and positions (PBE+U), using Cu Ka.
Neutral-atom scattering factors, no anomalous dispersion.

Cell and atoms:
Unit cell a=6.3085 b=5.9677 c=7.0792 alpha=90.00 beta=111.74 gamma=90.00
Space group P2_1/m (No. 11)
Unique sites:
Ba 0.2365 0.2500 0.4848 x2
Mn 0.2767 0.2500 0.0245 x2
V 0.2112 0.7500 0.1559 x2
O 0.0091 0.2500 0.7263 x2
O 0.0282 0.7500 0.8959 x2
O 0.4115 0.5114 0.2317 x4

Peak list (12 most intense, 10° ≤ 2θ ≤ 80°, low angle first)
| Position (°2θ) | I/Imax | h k l |
| --- | --- | --- |
| 16.11 | 300 | 1 0 -1 |
| 21.25 | 1000 | 1 1 0 |
| 21.97 | 414 | 1 1 -1 |
| 28.16 | 407 | 1 1 1 |
| 29.80 | 911 | 1 1 -2 |
| 29.95 | 683 | 0 2 0 |
| 30.51 | 364 | 2 0 0 |
| 32.54 | 337 | 2 0 -2 |
| 39.07 | 477 | 1 1 2 |
| 40.84 | 340 | 0 2 2 |
| 43.28 | 375 | 2 2 0 |
| 46.98 | 415 | 3 1 -2 |